# GaPdS3
Theoretical powder XRD pattern, Cu Kα. Input: a cell relaxed with PBE.
Kinematic intensities with the Lorentz-polarization factor, no thermal factor.

Crystal structure
```
GaPdS3
1.0
3.6855 0.0000 0.0000
0.0000 2.7568 6.6738
0.0000 -2.7568 6.6738
Ga Pd S
1 1 3
Direct
0.0000 0.0000 0.0000
0.5000 0.6529 0.6529
0.0000 0.3911 0.9078
0.0000 0.9078 0.3911
0.5000 0.9051 0.9051
```

Principal peaks in the range 2θ from 10° to 90°, sorted by position:
2θ/deg  I (rel.)
13.27  100
17.40  72
25.73  68
26.72  25
29.92  70
43.16  33
45.04  23
49.50  61

---

# La3Sm2In4
Theoretical powder XRD pattern, Cu Kα. Input: a cell relaxed with PBE.
Kinematic intensities with the Lorentz-polarization factor, no thermal factor.

Crystal structure
```
La3Sm2In4
1.0
-2.7143 3.0678 8.6202
2.7143 -3.0678 8.6202
2.7143 3.0678 -8.6202
La Sm In
3 2 4
Direct
0.0000 0.0000 0.0000
0.3820 0.8820 0.5000
0.6180 0.1180 0.5000
0.1643 0.6643 0.5000
0.8357 0.3357 0.5000
0.2522 0.2522 0.0000
0.2718 0.5000 0.7718
0.7282 0.5000 0.2282
0.7478 0.7478 0.0000
```

Principal peaks in the range 2θ from 10° to 90°, sorted by position:
2θ/deg  I (rel.)
29.11  20
30.22  100
33.00  39
33.97  17
37.12  21
52.30  16
57.22  16
59.37  16

---

# Na2PbO2F2
Theoretical powder XRD pattern, Cu Kα. Input: a cell relaxed with PBE.
Kinematic intensities with the Lorentz-polarization factor, no thermal factor.

Crystal structure
```
Na2PbO2F2
1.0
3.2528 0.0000 0.0000
0.2103 6.0336 0.0000
1.5021 2.5566 5.3316
Na Pb O F
2 1 2 2
Direct
0.1539 0.1899 0.1056
0.8461 0.8101 0.8944
0.5000 0.5000 0.5000
0.1077 0.4840 0.2617
0.8923 0.5160 0.7383
0.3964 0.0894 0.7458
0.6036 0.9106 0.2542
```

Principal peaks in the range 2θ from 10° to 90°, sorted by position:
2θ/deg  I (rel.)
16.29  92
16.63  71
17.55  100
28.04  40
29.06  28
29.72  29
30.29  37
30.88  30

---

# BaCuNi2H8
Theoretical powder XRD pattern, Cu Kα. Input: a cell relaxed with PBE.
Kinematic intensities with the Lorentz-polarization factor, no thermal factor.

Crystal structure
```
BaCuNi2H8
1.0
2.2693 1.3102 6.1155
-2.2693 1.3102 6.1155
0.0000 -2.6204 6.1155
Ba Cu Ni H
1 1 2 8
Direct
0.0000 0.0000 0.0000
0.5000 0.5000 0.5000
0.1916 0.1916 0.1916
0.8084 0.8084 0.8084
0.1292 0.8294 0.4185
0.1706 0.5815 0.8708
0.2795 0.2795 0.2795
0.4185 0.1292 0.8294
0.5815 0.8708 0.1706
0.7205 0.7205 0.7205
0.8294 0.4185 0.1292
0.8708 0.1706 0.5815
```

Principal peaks in the range 2θ from 10° to 90°, sorted by position:
2θ/deg  I (rel.)
23.14  46
24.64  32
29.21  54
29.94  92
33.41  51
39.72  100
50.05  70
55.25  33

---

# Mg8In3Sb2
Theoretical powder XRD pattern, Cu Kα. Input: a cell relaxed with PBE.
Kinematic intensities with the Lorentz-polarization factor, no thermal factor.

Crystal structure
```
Mg8In3Sb2
1.0
4.7935 -7.6646 0.0000
4.7935 7.6646 0.0000
0.0000 0.0000 4.6255
Mg In Sb
8 3 2
Direct
0.1098 0.8902 0.0000
0.1262 0.3779 0.5000
0.3662 0.6338 0.0000
0.3779 0.1262 0.5000
0.6221 0.8738 0.5000
0.6338 0.3662 0.0000
0.8738 0.6221 0.5000
0.8902 0.1098 0.0000
0.2540 0.2540 0.0000
0.5000 0.5000 0.5000
0.7460 0.7460 0.0000
0.2387 0.7613 0.5000
0.7613 0.2387 0.5000
```

Principal peaks in the range 2θ from 10° to 90°, sorted by position:
2θ/deg  I (rel.)
21.87  35
22.45  35
23.21  18
26.78  26
35.73  100
37.53  23
38.94  20
66.55  15

---

# Tl5Co4
Theoretical powder XRD pattern, Cu Kα. Input: a cell relaxed with PBE.
Kinematic intensities with the Lorentz-polarization factor, no thermal factor.

Crystal structure
```
Tl5Co4
1.0
8.0180 0.0000 0.0000
-4.0090 6.9438 0.0000
0.0000 0.0000 5.8575
Tl Co
10 8
Direct
0.0000 0.2745 0.2500
0.0000 0.7255 0.7500
0.2745 0.0000 0.2500
0.2745 0.2745 0.7500
0.3333 0.6667 0.0000
0.3333 0.6667 0.5000
0.6667 0.3333 0.0000
0.6667 0.3333 0.5000
0.7255 0.0000 0.7500
0.7255 0.7255 0.2500
0.0000 0.0000 0.0000
0.0000 0.0000 0.5000
0.0000 0.3918 0.7500
0.0000 0.6082 0.2500
0.3918 0.0000 0.7500
0.3918 0.3918 0.2500
0.6082 0.0000 0.2500
0.6082 0.6082 0.7500
```

Principal peaks in the range 2θ from 10° to 90°, sorted by position:
2θ/deg  I (rel.)
26.95  38
34.16  16
37.55  50
38.05  100
38.91  68
55.56  27
62.16  15
77.07  18